Starting from the PBE geometry in OQMD, the powder diffraction line list of LiInRe was calculated for a wavelength of 1.5418 Å.
Kinematic intensities with the Lorentz-polarization factor, no thermal factor.

Main lines, low angle first (10 to 90 degrees two-theta):
| d (Å) | I/Imax |
| --- | --- |
| 3.430 | 9.5 |
| 2.971 | 100.0 |
| 2.101 | 80.7 |
| 1.791 | 5.1 |
| 1.715 | 26.6 |
| 1.485 | 13.2 |
| 1.363 | 2.2 |
| 1.328 | 34.0 |
| 1.213 | 27.2 |
| 1.143 | 1.8 |

Structure:
```
LiInRe
1.0
5.941 0.000 0.000
0.000 5.941 0.000
0.000 0.000 5.941
Li In Re
4 4 4
direct
0.000 0.000 0.000 Li
0.000 0.500 0.500 Li
0.500 0.000 0.500 Li
0.500 0.500 0.000 Li
0.250 0.250 0.750 In
0.250 0.750 0.250 In
0.750 0.250 0.250 In
0.750 0.750 0.750 In
0.250 0.250 0.250 Re
0.250 0.750 0.750 Re
0.750 0.250 0.750 Re
0.750 0.750 0.250 Re
```

Starting from the PBE geometry in OQMD, the powder diffraction line list of LiTbIn was calculated for a wavelength of 1.5418 Å.
Kinematic intensities with the Lorentz-polarization factor, no thermal factor.

Main lines, low angle first (10 to 90 degrees two-theta):
| d (Å) | I/Imax |
| --- | --- |
| 4.060 | 100.0 |
| 2.486 | 88.5 |
| 2.120 | 52.5 |
| 1.758 | 15.4 |
| 1.613 | 22.0 |
| 1.435 | 31.3 |
| 1.353 | 16.2 |
| 1.243 | 9.7 |
| 1.189 | 16.1 |
| 1.112 | 14.1 |

Structure:
```
LiTbIn
1.0
7.031 0.000 0.000
0.000 7.031 0.000
0.000 0.000 7.031
Li Tb In
4 4 4
direct
0.000 0.000 0.000 Li
0.000 0.500 0.500 Li
0.500 0.000 0.500 Li
0.500 0.500 0.000 Li
0.000 0.000 0.500 Tb
0.000 0.500 0.000 Tb
0.500 0.000 0.000 Tb
0.500 0.500 0.500 Tb
0.250 0.250 0.250 In
0.250 0.750 0.750 In
0.750 0.250 0.750 In
0.750 0.750 0.250 In
```

Starting from the PBE geometry in OQMD, the powder diffraction line list of Li8Zn2In was calculated for a wavelength of 1.5418 Å.
Kinematic intensities with the Lorentz-polarization factor, no thermal factor.

Main lines, low angle first (10 to 90 degrees two-theta):
| d (Å) | I/Imax |
| --- | --- |
| 5.017 | 15.0 |
| 3.778 | 100.0 |
| 3.465 | 48.6 |
| 3.345 | 20.4 |
| 2.890 | 22.1 |
| 2.253 | 43.6 |
| 2.241 | 41.6 |
| 1.992 | 19.1 |
| 1.935 | 15.4 |
| 1.869 | 22.9 |

Structure:
```
Li8Zn2In
1.0
3.905 -2.252 0.000
3.905 2.252 0.000
-2.583 0.000 10.035
Li Zn In
8 2 1
direct
0.093 0.093 0.281 Li
0.183 0.183 0.550 Li
0.276 0.276 0.828 Li
0.369 0.369 0.106 Li
0.631 0.631 0.894 Li
0.724 0.724 0.172 Li
0.817 0.817 0.450 Li
0.907 0.907 0.719 Li
0.457 0.457 0.373 Zn
0.543 0.543 0.627 Zn
0.000 0.000 0.000 In
```

Starting from the PBE geometry in OQMD, the powder diffraction line list of LuIn2 was calculated for a wavelength of 1.5418 Å.
Kinematic intensities with the Lorentz-polarization factor, no thermal factor.

Main lines, low angle first (10 to 90 degrees two-theta):
| d (Å) | I/Imax |
| --- | --- |
| 2.661 | 100.0 |
| 2.344 | 16.2 |
| 2.296 | 16.8 |
| 2.276 | 16.4 |
| 1.640 | 11.2 |
| 1.617 | 11.2 |
| 1.407 | 11.1 |
| 1.386 | 12.9 |
| 1.377 | 12.7 |
| 1.331 | 11.1 |

Structure:
```
LuIn2
1.0
4.553 0.000 0.000
0.000 14.063 0.000
0.000 0.000 4.592
Lu In
4 8
direct
0.000 0.156 0.000 Lu
0.000 0.844 0.000 Lu
0.500 0.344 0.000 Lu
0.500 0.656 0.000 Lu
0.000 0.000 0.500 In
0.000 0.324 0.500 In
0.000 0.500 0.000 In
0.000 0.676 0.500 In
0.500 0.000 0.000 In
0.500 0.176 0.500 In
0.500 0.500 0.500 In
0.500 0.824 0.500 In
```

Starting from the PBE geometry in OQMD, the powder diffraction line list of Lu4InSnN2 was calculated for a wavelength of 1.5418 Å.
Kinematic intensities with the Lorentz-polarization factor, no thermal factor.

Main lines, low angle first (10 to 90 degrees two-theta):
| d (Å) | I/Imax |
| --- | --- |
| 2.974 | 22.0 |
| 2.563 | 100.0 |
| 2.526 | 20.1 |
| 1.925 | 15.9 |
| 1.717 | 21.2 |
| 1.465 | 17.8 |
| 1.426 | 16.4 |
| 1.420 | 20.6 |
| 1.115 | 7.7 |
| 1.097 | 15.0 |

Structure:
```
Lu4InSnN2
1.0
3.434 0.000 0.000
-1.717 2.974 0.000
0.000 0.000 15.156
Lu In Sn N
4 1 1 2
direct
0.000 0.000 0.164 Lu
0.000 0.000 0.836 Lu
0.667 0.333 0.333 Lu
0.667 0.333 0.667 Lu
0.000 0.000 0.500 In
0.667 0.333 0.000 Sn
0.333 0.667 0.248 N
0.333 0.667 0.752 N
```

Starting from the PBE geometry in OQMD, the powder diffraction line list of Y4Lu2In3N3 was calculated for a wavelength of 1.5418 Å.
Kinematic intensities with the Lorentz-polarization factor, no thermal factor.

Main lines, low angle first (10 to 90 degrees two-theta):
| d (Å) | I/Imax |
| --- | --- |
| 3.027 | 21.0 |
| 2.616 | 100.0 |
| 2.601 | 20.3 |
| 1.973 | 16.7 |
| 1.748 | 20.4 |
| 1.505 | 11.6 |
| 1.504 | 5.7 |
| 1.453 | 15.7 |
| 1.451 | 19.6 |
| 1.117 | 12.7 |

Structure:
```
Y4Lu2In3N3
1.0
5.241 -3.028 0.000
5.241 3.028 0.000
-3.504 0.000 15.605
Y Lu In N
8 4 6 6
direct
0.032 0.193 0.087 Y
0.135 0.304 0.413 Y
0.193 0.032 0.587 Y
0.304 0.135 0.913 Y
0.696 0.865 0.087 Y
0.807 0.968 0.413 Y
0.865 0.696 0.587 Y
0.968 0.807 0.913 Y
0.357 0.526 0.080 Lu
0.474 0.643 0.420 Lu
0.526 0.357 0.580 Lu
0.643 0.474 0.920 Lu
0.106 0.894 0.250 In
0.271 0.417 0.751 In
0.417 0.271 0.251 In
0.583 0.729 0.749 In
0.729 0.583 0.249 In
0.894 0.106 0.750 In
0.000 0.500 0.000 N
0.177 0.662 0.500 N
0.338 0.823 0.000 N
0.500 0.000 0.500 N
0.662 0.177 0.000 N
0.823 0.338 0.500 N
```